MgSO9: calculated powder X-ray diffraction pattern (Cu Kα (weighted mean of Kα1 and Kα2)), based on a crystal structure in the Materials Project, relaxed with GGA-PBE.

Largest 10 diffraction maxima, in order of falling intensity, 10° ≤ 2θ ≤ 90°:
2θ (°), I_rel
27.9, 100
20.4, 83
34.3, 59
22.6, 40
24.4, 38
15.6, 38
19.6, 38
16.6, 37
29.8, 33
16.3, 30

Structural model:
```
data_MgSO9
_chemical_formula_sum 'Mg1 S1 O9'
_space_group_name_H-M_alt 'P 1'
_space_group_IT_number 1
_space_group_name_Hall 'P 1'
_cell_length_a 4.830
_cell_length_b 6.148
_cell_length_c 6.672
_cell_angle_alpha 114.58
_cell_angle_beta 106.46
_cell_angle_gamma 94.26
loop_
_atom_site_label
_atom_site_type_symbol
_atom_site_fract_x
_atom_site_fract_y
_atom_site_fract_z
Mg1 Mg 0.000 0.000 0.000
S1 S 0.627 0.431 0.681
O1 O 0.262 0.123 0.324
O2 O 0.315 0.950 0.674
O3 O 0.426 0.975 0.881
O4 O 0.524 0.314 0.396
O5 O 0.554 0.727 0.233
O6 O 0.789 0.824 0.235
O7 O 0.816 0.217 0.702
O8 O 0.863 0.649 0.755
O9 O 0.916 0.286 0.950
```